[1]
Pr3Er4Tm5: theoretical X-ray powder pattern (copper Kα), based on a structure optimized by DFT (GGA-PBE).

Structural model:
Lattice parameters (Å, degrees): 6.1449 7.0975 8.6941 89.89 89.82 89.85
Space group P-1 (No. 2)
Asymmetric unit:
Pr (0.0000, 0.0000, 0.0000) (multiplicity 1)
Pr (0.1666, 0.2511, 0.3347) (multiplicity 2)
Er (0.1699, 0.7488, 0.3328) (multiplicity 2)
Er (0.3336, 0.4996, 0.6685) (multiplicity 2)
Tm (0.0000, 0.5000, 0.0000) (multiplicity 1)
Tm (0.3359, 0.0001, 0.6679) (multiplicity 2)
Tm (0.4987, 0.7484, 0.0002) (multiplicity 2)

Principal peaks in the range 2θ = 10–90°, by angle:
- d 2.899, I = 100
- d 2.894, I = 33
- d 2.513, I = 23
- d 2.507, I = 45
- d 1.777, I = 16
- d 1.773, I = 32
- d 1.516, I = 10
- d 1.514, I = 24
- d 1.512, I = 24
- d 1.122, I = 9

[2]
Pr3Er6Tm: theoretical X-ray powder pattern (copper Kα), based on a structure optimized by DFT (GGA-PBE).

Structural model:
Lattice parameters (Å, degrees): 11.5144 6.5487 9.7148 90.00 114.98 90.00
Space group C2/m (No. 12)
Asymmetric unit:
Pr (0.0000, 0.0000, 0.0000) (multiplicity 2)
Pr (0.0729, 0.0000, 0.7012) (multiplicity 4)
Er (0.1344, 0.5000, 0.9205) (multiplicity 4)
Er (0.1848, 0.2538, 0.3137) (multiplicity 8)
Tm (0.0000, 0.5000, 0.5000) (multiplicity 2)

Principal peaks in the range 2θ = 10–90°, by angle:
- d 3.124, I = 34
- d 2.935, I = 19
- d 2.875, I = 33
- d 2.851, I = 29
- d 2.832, I = 100
- d 2.774, I = 36
- d 2.679, I = 23
- d 2.627, I = 20
- d 2.613, I = 19
- d 1.655, I = 25

[3]
Pr3ErTm7: theoretical X-ray powder pattern (copper Kα), based on a structure optimized by DFT (GGA-PBE).

Structural model:
Lattice parameters (Å, degrees): 6.4741 6.6667 8.5466 99.63 98.15 95.19
Space group P-1 (No. 2)
Asymmetric unit:
Pr (0.0000, 0.0000, 0.0000) (multiplicity 1)
Pr (0.1970, 0.5622, 0.1655) (multiplicity 2)
Er (0.5000, 0.0000, 0.5000) (multiplicity 1)
Tm (0.0124, 0.7685, 0.5785) (multiplicity 2)
Tm (0.2819, 0.2748, 0.7869) (multiplicity 2)
Tm (0.4377, 0.7916, 0.8537) (multiplicity 2)
Tm (0.5000, 0.5000, 0.5000) (multiplicity 1)

Principal peaks in the range 2θ = 10–90°, by angle:
- d 3.248, I = 16
- d 3.181, I = 14
- d 2.830, I = 100
- d 2.782, I = 81
- d 2.769, I = 62
- d 2.748, I = 52
- d 2.738, I = 33
- d 2.702, I = 53
- d 2.580, I = 24
- d 1.704, I = 11

[4]
Pr3Er2Tm5: theoretical X-ray powder pattern (copper Kα), based on a structure optimized by DFT (GGA-PBE).

Structural model:
Lattice parameters (Å, degrees): 10.5987 16.0414 9.3465 90.00 124.40 90.00
Space group C2/c (No. 15)
Asymmetric unit:
Pr (0.0000, 0.2360, 0.2500) (multiplicity 4)
Pr (0.1447, 0.1237, 0.0441) (multiplicity 8)
Er (0.1503, 0.3850, 0.5480) (multiplicity 8)
Tm (0.0000, 0.0278, 0.2500) (multiplicity 4)
Tm (0.0000, 0.2725, 0.7500) (multiplicity 4)
Tm (0.0000, 0.4705, 0.7500) (multiplicity 4)
Tm (0.2408, 0.3914, 0.2338) (multiplicity 8)

Principal peaks in the range 2θ = 10–90°, by angle:
- d 2.954, I = 100
- d 2.909, I = 50
- d 2.903, I = 49
- d 2.780, I = 22
- d 2.650, I = 47
- d 2.387, I = 18
- d 2.313, I = 16
- d 1.853, I = 19
- d 1.582, I = 18
- d 1.426, I = 17

[5]
Pr5Er6Tm2: theoretical X-ray powder pattern (copper Kα), based on a structure optimized by DFT (GGA-PBE).

Structural model:
Lattice parameters (Å, degrees): 11.6170 20.5690 3.5981 90.00 90.00 90.00
Space group Pbam (No. 55)
Asymmetric unit:
Pr (0.0000, 0.0000, 0.0000) (multiplicity 2)
Pr (0.0832, 0.2721, 0.0000) (multiplicity 4)
Pr (0.1976, 0.5511, 0.0000) (multiplicity 4)
Er (0.0636, 0.4183, 0.5000) (multiplicity 4)
Er (0.0809, 0.1317, 0.5000) (multiplicity 4)
Er (0.1742, 0.8603, 0.0000) (multiplicity 4)
Tm (0.1709, 0.7104, 0.5000) (multiplicity 4)

Principal peaks in the range 2θ = 10–90°, by angle:
- d 2.876, I = 55
- d 2.853, I = 100
- d 2.820, I = 14
- d 2.794, I = 88
- d 2.628, I = 39
- d 2.567, I = 16
- d 2.459, I = 40
- d 1.799, I = 19
- d 1.525, I = 21
- d 1.521, I = 17

[6]
PrEr7Tm2: theoretical X-ray powder pattern (copper Kα), based on a structure optimized by DFT (GGA-PBE).

Structural model:
Lattice parameters (Å, degrees): 8.8077 16.5511 5.3818 90.00 127.61 90.00
Space group C2/m (No. 12)
Asymmetric unit:
Pr (0.0000, 0.0000, 0.0000) (multiplicity 2)
Er (0.0000, 0.2010, 0.0000) (multiplicity 4)
Er (0.0000, 0.5000, 0.5000) (multiplicity 2)
Er (0.2478, 0.3891, 0.2478) (multiplicity 8)
Tm (0.0000, 0.3006, 0.5000) (multiplicity 4)

Principal peaks in the range 2θ = 10–90°, by angle:
- d 2.883, I = 87
- d 2.820, I = 100
- d 2.691, I = 46
- d 2.667, I = 44
- d 2.586, I = 19
- d 1.895, I = 16
- d 1.894, I = 16
- d 1.577, I = 18
- d 1.557, I = 18
- d 1.483, I = 29

[7]
PrEr4Tm6: theoretical X-ray powder pattern (copper Kα), based on a structure optimized by DFT (GGA-PBE).

Structural model:
Lattice parameters (Å, degrees): 5.5834 9.6323 25.4124 90.00 90.00 90.00
Space group Cmcm (No. 63)
Asymmetric unit:
Pr (0.0000, 0.1693, 0.2500) (multiplicity 4)
Er (0.0000, 0.1655, 0.5412) (multiplicity 8)
Er (0.0000, 0.4962, 0.6214) (multiplicity 8)
Tm (0.0000, 0.1634, 0.6802) (multiplicity 8)
Tm (0.0000, 0.1698, 0.1010) (multiplicity 8)
Tm (0.0000, 0.4972, 0.7500) (multiplicity 4)
Tm (0.0000, 0.5000, 0.0000) (multiplicity 4)

Principal peaks in the range 2θ = 10–90°, by angle:
- d 2.901, I = 64
- d 2.786, I = 100
- d 2.653, I = 31
- d 2.010, I = 23
- d 1.921, I = 12
- d 1.629, I = 16
- d 1.610, I = 13
- d 1.581, I = 9
- d 1.521, I = 13
- d 1.392, I = 8

[8]
Pr10ErTm4: theoretical X-ray powder pattern (copper Kα), based on a structure optimized by DFT (GGA-PBE).

Structural model:
Lattice parameters (Å, degrees): 12.3662 12.3662 7.8488 90.00 90.00 90.00
Space group I4/m (No. 87)
Asymmetric unit:
Pr (0.0000, 0.5000, 0.2500) (multiplicity 4)
Pr (0.0997, 0.7994, 0.2502) (multiplicity 16)
Er (0.0000, 0.0000, 0.0000) (multiplicity 2)
Tm (0.1003, 0.2997, 0.5000) (multiplicity 8)

Principal peaks in the range 2θ = 10–90°, by angle:
- d 4.521, I = 31
- d 3.915, I = 8
- d 2.768, I = 100
- d 2.359, I = 12
- d 1.955, I = 12
- d 1.796, I = 8
- d 1.600, I = 13
- d 1.597, I = 26
- d 1.385, I = 8
- d 1.237, I = 11

[9]
Pr12ErTm5: theoretical X-ray powder pattern (copper Kα), based on a structure optimized by DFT (GGA-PBE).

Structural model:
Lattice parameters (Å, degrees): 10.9002 5.1726 10.9234 90.00 90.60 90.00
Space group P2/m (No. 10)
Asymmetric unit:
Pr (0.0027, 0.0000, 0.1690) (multiplicity 2)
Pr (0.1641, 0.5000, 0.6643) (multiplicity 2)
Pr (0.1694, 0.5000, 0.0024) (multiplicity 2)
Pr (0.3309, 0.0000, 0.4975) (multiplicity 2)
Pr (0.3361, 0.0000, 0.8359) (multiplicity 2)
Pr (0.4974, 0.5000, 0.3307) (multiplicity 2)
Er (0.0000, 0.0000, 0.5000) (multiplicity 1)
Tm (0.1669, 0.5000, 0.3331) (multiplicity 2)
Tm (0.3333, 0.0000, 0.1667) (multiplicity 2)
Tm (0.5000, 0.5000, 0.0000) (multiplicity 1)

Principal peaks in the range 2θ = 10–90°, by angle:
- d 2.975, I = 100
- d 2.586, I = 34
- d 2.558, I = 17
- d 1.829, I = 12
- d 1.819, I = 18
- d 1.817, I = 6
- d 1.558, I = 29
- d 1.546, I = 14
- d 1.488, I = 12
- d 1.186, I = 6

[10]
Pr2Er4Tm7: theoretical X-ray powder pattern (copper Kα), based on a structure optimized by DFT (GGA-PBE).

Structural model:
Lattice parameters (Å, degrees): 6.0076 6.0076 13.3306 90.00 90.00 120.00
Space group P-31m (No. 162)
Asymmetric unit:
Pr (0.3333, 0.6667, 0.0000) (multiplicity 2)
Er (0.0000, 0.0000, 0.3957) (multiplicity 2)
Er (0.3333, 0.6667, 0.5000) (multiplicity 2)
Tm (0.0000, 0.0000, 0.0000) (multiplicity 1)
Tm (0.0000, 0.3479, 0.2159) (multiplicity 6)

Principal peaks in the range 2θ = 10–90°, by angle:
- d 3.333, I = 20
- d 2.930, I = 50
- d 2.739, I = 100
- d 2.666, I = 15
- d 2.489, I = 32
- d 2.231, I = 14
- d 1.786, I = 19
- d 1.734, I = 30
- d 1.465, I = 15
- d 1.457, I = 14

[11]
PrEr2Tm9: theoretical X-ray powder pattern (copper Kα), based on a structure optimized by DFT (GGA-PBE).

Structural model:
Lattice parameters (Å, degrees): 5.8041 5.8041 11.0280 90.00 90.00 90.00
Space group P4/mmm (No. 123)
Asymmetric unit:
Pr (0.0000, 0.0000, 0.0000) (multiplicity 1)
Er (0.0000, 0.0000, 0.3354) (multiplicity 2)
Tm (0.0000, 0.5000, 0.1720) (multiplicity 4)
Tm (0.0000, 0.5000, 0.5000) (multiplicity 2)
Tm (0.5000, 0.5000, 0.0000) (multiplicity 1)
Tm (0.5000, 0.5000, 0.3336) (multiplicity 2)

Principal peaks in the range 2θ = 10–90°, by angle:
- d 2.902, I = 59
- d 2.738, I = 100
- d 2.052, I = 22
- d 1.838, I = 8
- d 1.642, I = 44
- d 1.553, I = 18
- d 1.451, I = 7
- d 1.369, I = 12
- d 1.298, I = 10
- d 1.282, I = 10

[12]
PrEr12Tm5: theoretical X-ray powder pattern (copper Kα), based on a structure optimized by DFT (GGA-PBE).

Structural model:
Lattice parameters (Å, degrees): 14.8951 14.9212 4.9628 90.00 90.00 90.00
Space group Cmmm (No. 65)
Asymmetric unit:
Pr (0.0000, 0.0000, 0.0000) (multiplicity 2)
Er (0.1660, 0.3338, 0.5000) (multiplicity 8)
Er (0.1660, 0.5000, 0.0000) (multiplicity 4)
Er (0.1676, 0.1678, 0.0000) (multiplicity 8)
Er (0.1685, 0.0000, 0.5000) (multiplicity 4)
Tm (0.0000, 0.1686, 0.5000) (multiplicity 4)
Tm (0.0000, 0.3336, 0.0000) (multiplicity 4)
Tm (0.0000, 0.5000, 0.5000) (multiplicity 2)

Principal peaks in the range 2θ = 10–90°, by angle:
- d 2.868, I = 100
- d 2.484, I = 51
- d 1.756, I = 36
- d 1.498, I = 28
- d 1.497, I = 14
- d 1.434, I = 12
- d 1.241, I = 4
- d 1.140, I = 18
- d 1.112, I = 6
- d 1.110, I = 11